Sm2Dy7Ho4: simulated XRD peak list (Cu Ka), based on the GGA-PBE geometry in Alexandria.
Peak positions follow from Bragg's law for the DFT cell and can differ from measured ones.

Structural model:
abc: 6.0569 6.0569 13.2684
angles: 90.00 90.00 120.00
Element x y z (fractional)
Sm  0.3333  0.6667  0.0000
Sm  0.6667  0.3333  0.0000
Dy  0.0000  0.0000  0.0000
Dy  0.0000  0.3555  0.2173
Dy  0.0000  0.6445  0.7827
Dy  0.3555  0.0000  0.2173
Dy  0.3555  0.3555  0.7827
Dy  0.6445  0.0000  0.7827
Dy  0.6445  0.6445  0.2173
Ho  0.0000  0.0000  0.3946
Ho  0.0000  0.0000  0.6054
Ho  0.3333  0.6667  0.5000
Ho  0.6667  0.3333  0.5000

Main lines, low angle first (10° ≤ 2θ ≤ 80°):
d 3.317, rel. 20.2
d 3.028, rel. 14.7
d 2.952, rel. 46.1
d 2.804, rel. 14.0
d 2.755, rel. 100.0
d 2.654, rel. 13.7
d 2.499, rel. 31.3
d 1.786, rel. 17.5
d 1.748, rel. 29.9
d 1.476, rel. 18.0
d 1.460, rel. 12.3
d 1.455, rel. 13.3


Sm6Dy3Ho2: simulated XRD peak list (Cu Ka), based on the GGA-PBE geometry in Alexandria.
Peak positions follow from Bragg's law for the DFT cell and can differ from measured ones.

Structural model:
abc: 17.0602 17.0602 17.0602
angles: 163.97 163.97 22.75
Element x y z (fractional)
Sm  0.1203  0.6203  0.5000
Sm  0.1987  0.1987  0.0000
Sm  0.3797  0.8797  0.5000
Sm  0.6203  0.1203  0.5000
Sm  0.8013  0.8013  0.0000
Sm  0.8797  0.3797  0.5000
Dy  0.3014  0.3014  0.0000
Dy  0.5000  0.5000  0.0000
Dy  0.6986  0.6986  0.0000
Ho  0.0454  0.0454  0.0000
Ho  0.9546  0.9546  0.0000

Main lines, low angle first (10° ≤ 2θ ≤ 80°):
d 3.367, rel. 22.2
d 3.121, rel. 100.0
d 2.929, rel. 14.3
d 2.880, rel. 14.0
d 2.788, rel. 22.7
d 2.621, rel. 74.6
d 2.379, rel. 61.3
d 1.809, rel. 25.7
d 1.682, rel. 21.4
d 1.498, rel. 24.0
d 1.481, rel. 21.7
d 1.416, rel. 22.3


Tb2SmDy2Ho: simulated XRD peak list (Cu Ka), based on the GGA-PBE geometry in Alexandria.
Peak positions follow from Bragg's law for the DFT cell and can differ from measured ones.

Structural model:
abc: 6.5962 17.6832 3.3751
angles: 90.00 90.00 90.00
Element x y z (fractional)
Tb  0.2347  0.1824  0.0000
Tb  0.2653  0.6824  0.5000
Tb  0.7347  0.3176  0.5000
Tb  0.7653  0.8176  0.0000
Sm  0.0000  0.5000  0.0000
Sm  0.5000  0.0000  0.5000
Dy  0.2331  0.3514  0.5000
Dy  0.2669  0.8514  0.0000
Dy  0.7331  0.1486  0.0000
Dy  0.7669  0.6486  0.5000
Ho  0.0000  0.0000  0.0000
Ho  0.5000  0.5000  0.5000

Main lines, low angle first (10° ≤ 2θ ≤ 80°):
d 3.315, rel. 36.0
d 3.090, rel. 100.0
d 3.005, rel. 23.9
d 2.947, rel. 80.7
d 2.929, rel. 81.7
d 2.845, rel. 39.7
d 2.691, rel. 26.3
d 2.643, rel. 66.4
d 2.485, rel. 33.9
d 2.190, rel. 76.0
d 1.644, rel. 24.7
d 1.439, rel. 26.7


Tb6SmDyHo2: simulated XRD peak list (Cu Ka), based on the GGA-PBE geometry in Alexandria.
Peak positions follow from Bragg's law for the DFT cell and can differ from measured ones.

Structural model:
abc: 8.7849 8.7849 9.5520
angles: 93.80 93.80 117.76
Element x y z (fractional)
Tb  0.0175  0.5667  0.1837
Tb  0.1215  0.7517  0.5560
Tb  0.2483  0.8785  0.9440
Tb  0.2919  0.5079  0.3805
Tb  0.4333  0.9825  0.3163
Tb  0.4921  0.7081  0.1195
Tb  0.5079  0.2919  0.8805
Tb  0.5667  0.0175  0.6837
Tb  0.7081  0.4921  0.6195
Tb  0.7517  0.1215  0.0560
Tb  0.8785  0.2483  0.4440
Tb  0.9825  0.4333  0.8163
Sm  0.0252  0.9748  0.2500
Sm  0.9748  0.0252  0.7500
Dy  0.4091  0.5909  0.7500
Dy  0.5909  0.4091  0.2500
Ho  0.1985  0.3023  0.0454
Ho  0.3023  0.1985  0.5454
Ho  0.6977  0.8015  0.4546
Ho  0.8015  0.6977  0.9546

Main lines, low angle first (10° ≤ 2θ ≤ 80°):
d 3.169, rel. 15.5
d 3.121, rel. 36.5
d 2.915, rel. 97.1
d 2.848, rel. 100.0
d 2.826, rel. 33.7
d 2.763, rel. 20.3
d 2.641, rel. 43.1
d 2.588, rel. 13.7
d 2.421, rel. 10.1
d 1.795, rel. 11.4
d 1.702, rel. 10.6
d 1.553, rel. 13.9


TbSm6Dy3Ho2: simulated XRD peak list (Cu Ka), based on the GGA-PBE geometry in Alexandria.
Peak positions follow from Bragg's law for the DFT cell and can differ from measured ones.

Structural model:
abc: 6.2116 6.2116 11.8304
angles: 95.00 95.00 119.98
Element x y z (fractional)
Tb  0.0000  0.0000  0.0000
Sm  0.0837  0.4172  0.2499
Sm  0.2499  0.2499  0.7501
Sm  0.4172  0.0837  0.2499
Sm  0.5828  0.9163  0.7501
Sm  0.7501  0.7501  0.2499
Sm  0.9163  0.5828  0.7501
Dy  0.1667  0.8333  0.5000
Dy  0.5000  0.5000  0.5000
Dy  0.8333  0.1667  0.5000
Ho  0.3333  0.6667  0.0000
Ho  0.6667  0.3333  0.0000

Main lines, low angle first (10° ≤ 2θ ≤ 80°):
d 2.927, rel. 100.0
d 2.912, rel. 32.9
d 2.531, rel. 67.3
d 1.793, rel. 24.1
d 1.787, rel. 23.9
d 1.528, rel. 23.9
d 1.527, rel. 19.0
d 1.523, rel. 14.2
d 1.463, rel. 12.4
d 1.456, rel. 4.1
d 1.266, rel. 7.6


TbSm2DyHo6: simulated XRD peak list (Cu Ka), based on the GGA-PBE geometry in Alexandria.
Peak positions follow from Bragg's law for the DFT cell and can differ from measured ones.

Structural model:
abc: 8.7406 8.7406 9.6298
angles: 94.47 94.47 118.11
Element x y z (fractional)
Tb  0.0196  0.9804  0.7500
Tb  0.9804  0.0196  0.2500
Sm  0.1938  0.2977  0.5427
Sm  0.2977  0.1938  0.0427
Sm  0.7023  0.8062  0.9573
Sm  0.8062  0.7023  0.4573
Dy  0.4074  0.5926  0.2500
Dy  0.5926  0.4074  0.7500
Ho  0.0218  0.5741  0.6858
Ho  0.1245  0.7455  0.0569
Ho  0.2545  0.8755  0.4431
Ho  0.2920  0.5034  0.8800
Ho  0.4259  0.9782  0.8142
Ho  0.4966  0.7080  0.6200
Ho  0.5034  0.2920  0.3800
Ho  0.5741  0.0218  0.1858
Ho  0.7080  0.4966  0.1200
Ho  0.7455  0.1245  0.5569
Ho  0.8755  0.2545  0.9431
Ho  0.9782  0.4259  0.3142

Main lines, low angle first (10° ≤ 2θ ≤ 80°):
d 3.190, rel. 20.2
d 3.101, rel. 56.3
d 2.922, rel. 64.6
d 2.902, rel. 92.7
d 2.841, rel. 75.9
d 2.820, rel. 54.6
d 2.807, rel. 100.0
d 2.759, rel. 26.6
d 2.661, rel. 90.8
d 2.615, rel. 22.7
d 1.793, rel. 20.7
d 1.514, rel. 34.4


Tb2Sm2DyHo4: simulated XRD peak list (Cu Ka), based on the GGA-PBE geometry in Alexandria.
Peak positions follow from Bragg's law for the DFT cell and can differ from measured ones.

Structural model:
abc: 9.4825 9.4825 9.5355
angles: 115.22 115.22 21.81
Element x y z (fractional)
Tb  0.1473  0.1473  0.1637
Tb  0.8527  0.8527  0.8363
Sm  0.3341  0.3341  0.5001
Sm  0.6659  0.6659  0.4999
Dy  0.0000  0.0000  0.5000
Ho  0.1854  0.1854  0.8352
Ho  0.4808  0.4808  0.1658
Ho  0.5192  0.5192  0.8342
Ho  0.8146  0.8146  0.1648

Main lines, low angle first (10° ≤ 2θ ≤ 80°):
d 3.083, rel. 36.5
d 3.019, rel. 17.2
d 2.864, rel. 50.9
d 2.797, rel. 100.0
d 2.660, rel. 90.4
d 2.236, rel. 13.4
d 1.793, rel. 39.2
d 1.671, rel. 20.9
d 1.584, rel. 19.6
d 1.520, rel. 45.6
d 1.509, rel. 15.5
d 1.487, rel. 15.3


TbSm2DyHo4: simulated XRD peak list (Cu Ka), based on the GGA-PBE geometry in Alexandria.
Peak positions follow from Bragg's law for the DFT cell and can differ from measured ones.

Structural model:
abc: 9.4877 9.4877 9.4877
angles: 138.04 103.41 91.40
Element x y z (fractional)
Tb  0.0000  0.0000  0.0000
Tb  0.5000  0.0000  0.5000
Sm  0.0000  0.5000  0.5000
Sm  0.5000  0.0000  0.0000
Sm  0.5000  0.5000  0.0000
Sm  0.5000  0.5000  0.5000
Dy  0.0000  0.0000  0.5000
Dy  0.0000  0.5000  0.0000
Ho  0.2470  0.2490  0.9979
Ho  0.2480  0.2471  0.4992
Ho  0.2480  0.7488  0.0008
Ho  0.2489  0.7510  0.4979
Ho  0.7511  0.2490  0.5021
Ho  0.7520  0.2512  0.9992
Ho  0.7520  0.7529  0.5008
Ho  0.7530  0.7510  0.0021

Main lines, low angle first (10° ≤ 2θ ≤ 80°):
d 3.313, rel. 45.5
d 2.941, rel. 100.0
d 2.199, rel. 88.9
d 1.698, rel. 20.0
d 1.657, rel. 6.2
d 1.511, rel. 27.3
d 1.471, rel. 8.3
d 1.470, rel. 4.1
d 1.443, rel. 23.3
d 1.344, rel. 18.4